Record 1
For CsPaHg2I6, a structure optimized by DFT (GGA-PBE) gives the computed XRD peak list in this record (Cu Kα, 1.54184 Å).
Intensities are scaled so that the largest is 100.

Peak list (10 most intense, 2θ = 10–90°, in order of rising 2θ)
d 7.819, 11.32°, intensity 82
d 4.893, 18.13°, intensity 100
d 4.044, 21.98°, intensity 65
d 3.905, 22.77°, intensity 57
d 3.764, 23.64°, intensity 86
d 3.432, 25.97°, intensity 59
d 3.336, 26.72°, intensity 63
d 3.166, 28.19°, intensity 57
d 3.118, 28.63°, intensity 87
d 3.035, 29.43°, intensity 75

Atomic structure:
```
CsPaHg2I6
1.0
8.4927 0.0000 0.0000
0.0000 10.2207 0.0000
-5.4685 0.0000 12.1398
Cs Pa Hg I
2 2 4 12
direct
0.0000 0.0000 0.0000 Cs
0.0000 0.5000 0.5000 Cs
0.5000 0.0000 0.5000 Pa
0.5000 0.5000 0.0000 Pa
0.1692 0.0864 0.7615 Hg
0.1692 0.4136 0.2615 Hg
0.8308 0.5864 0.7385 Hg
0.8308 0.9136 0.2385 Hg
0.1814 0.1369 0.4784 I
0.1814 0.3631 0.9784 I
0.3005 0.7446 0.9251 I
0.3005 0.7554 0.4251 I
0.4310 0.0674 0.2699 I
0.4310 0.4326 0.7699 I
0.5690 0.5674 0.2301 I
0.5690 0.9326 0.7301 I
0.6995 0.2446 0.5749 I
0.6995 0.2554 0.0749 I
0.8186 0.6369 0.0216 I
0.8186 0.8631 0.5216 I
```

Record 2
For AcEr2Ag2Pb2, a structure optimized by DFT (GGA-PBE) gives the computed XRD peak list in this record (Cu Kα, 1.54184 Å).
Intensities are scaled so that the largest is 100.

Peak list (10 most intense, 2θ = 10–90°, in order of rising 2θ)
d 3.646, 24.41°, intensity 22
d 2.891, 30.93°, intensity 81
d 2.674, 33.51°, intensity 37
d 2.492, 36.04°, intensity 100
d 2.305, 39.09°, intensity 17
d 1.888, 48.21°, intensity 24
d 1.585, 58.20°, intensity 15
d 1.504, 61.65°, intensity 26
d 1.468, 63.35°, intensity 18
d 1.439, 64.80°, intensity 18

Atomic structure:
```
AcEr2Ag2Pb2
1.0
2.4920 1.4388 9.0851
-2.4920 1.4388 9.0851
0.0000 -2.8775 9.0851
Ac Er Ag Pb
1 2 2 2
direct
0.0000 0.0000 0.0000 Ac
0.1358 0.1358 0.1358 Er
0.8642 0.8642 0.8642 Er
0.4458 0.4458 0.4458 Ag
0.5542 0.5542 0.5542 Ag
0.2598 0.2598 0.2598 Pb
0.7402 0.7402 0.7402 Pb
```

Record 3
For PmHo12Sc6, a structure optimized by DFT (GGA-PBE) gives the computed XRD peak list in this record (Cu Kα, 1.54184 Å).
Intensities are scaled so that the largest is 100.

Peak list (10 most intense, 2θ = 10–90°, in order of rising 2θ)
d 3.680, 24.18°, intensity 19
d 3.292, 27.09°, intensity 21
d 3.005, 29.73°, intensity 100
d 2.782, 32.17°, intensity 94
d 2.603, 34.46°, intensity 53
d 2.454, 36.62°, intensity 17
d 2.328, 38.68°, intensity 19
d 1.785, 51.17°, intensity 25
d 1.689, 54.32°, intensity 35
d 1.472, 63.16°, intensity 22

Atomic structure:
```
PmHo12Sc6
1.0
-5.2050 5.2050 5.2050
5.2050 -5.2050 5.2050
5.2050 5.2050 -5.2050
Pm Ho Sc
1 12 6
direct
0.0000 0.0000 0.0000 Pm
0.0697 0.2667 0.8030 Ho
0.1970 0.4637 0.2667 Ho
0.1970 0.9303 0.7333 Ho
0.2667 0.1970 0.4637 Ho
0.2667 0.8030 0.0697 Ho
0.4637 0.2667 0.1970 Ho
0.5363 0.7333 0.8030 Ho
0.7333 0.1970 0.9303 Ho
0.7333 0.8030 0.5363 Ho
0.8030 0.0697 0.2667 Ho
0.8030 0.5363 0.7333 Ho
0.9303 0.7333 0.1970 Ho
0.1375 0.5000 0.6375 Sc
0.3625 0.8625 0.5000 Sc
0.5000 0.3625 0.8625 Sc
0.5000 0.6375 0.1375 Sc
0.6375 0.1375 0.5000 Sc
0.8625 0.5000 0.3625 Sc
```

Record 4
For BaBiOs2O8, a structure optimized by DFT (GGA-PBE) gives the computed XRD peak list in this record (Cu Kα, 1.54184 Å).
Intensities are scaled so that the largest is 100.

Peak list (10 most intense, 2θ = 10–90°, in order of rising 2θ)
d 3.684, 24.16°, intensity 100
d 2.758, 32.47°, intensity 47
d 2.476, 36.28°, intensity 35
d 2.208, 40.88°, intensity 25
d 1.842, 49.48°, intensity 14
d 1.723, 53.14°, intensity 24
d 1.592, 57.92°, intensity 13
d 1.581, 58.36°, intensity 21
d 1.532, 60.43°, intensity 16
d 1.291, 73.31°, intensity 10

Atomic structure:
```
BaBiOs2O8
1.0
2.7575 1.5921 7.7204
-2.7575 1.5921 7.7204
0.0000 -3.1841 7.7204
Ba Bi Os O
1 1 2 8
direct
0.0000 0.0000 0.0000 Ba
0.5000 0.5000 0.5000 Bi
0.2510 0.2510 0.2510 Os
0.7490 0.7490 0.7490 Os
0.0839 0.4460 0.7885 O
0.2115 0.9161 0.5540 O
0.3291 0.3291 0.3291 O
0.4460 0.7885 0.0839 O
0.5540 0.2115 0.9161 O
0.6709 0.6709 0.6709 O
0.7885 0.0839 0.4460 O
0.9161 0.5540 0.2115 O
```

Record 5
For Tb5Si6, a structure optimized by DFT (GGA-PBE) gives the computed XRD peak list in this record (Cu Kα, 1.54184 Å).
Intensities are scaled so that the largest is 100.

Peak list (10 most intense, 2θ = 10–90°, in order of rising 2θ)
d 4.094, 21.71°, intensity 31
d 3.184, 28.02°, intensity 67
d 2.825, 31.68°, intensity 28
d 2.740, 32.68°, intensity 100
d 2.723, 32.89°, intensity 59
d 2.335, 38.55°, intensity 19
d 2.138, 42.26°, intensity 37
d 1.776, 51.47°, intensity 26
d 1.731, 52.89°, intensity 24
d 1.573, 58.68°, intensity 23

Atomic structure:
```
Tb5Si6
1.0
1.9274 -14.1229 0.0000
1.9274 14.1229 0.0000
0.0000 0.0000 4.2780
Tb Si
5 6
direct
0.0000 0.0000 0.0000 Tb
0.1970 0.8030 0.5000 Tb
0.3863 0.6137 0.0000 Tb
0.6137 0.3863 0.0000 Tb
0.8030 0.1970 0.5000 Tb
0.0935 0.9065 0.5000 Si
0.2781 0.7219 0.0000 Si
0.4587 0.5413 0.5000 Si
0.5413 0.4587 0.5000 Si
0.7219 0.2781 0.0000 Si
0.9065 0.0935 0.5000 Si
```

Record 6
For Ga3Ag3Hg, a structure optimized by DFT (GGA-PBE) gives the computed XRD peak list in this record (Cu Kα, 1.54184 Å).
Intensities are scaled so that the largest is 100.

Peak list (10 most intense, 2θ = 10–90°, in order of rising 2θ)
d 2.745, 32.62°, intensity 55
d 2.739, 32.69°, intensity 43
d 2.553, 35.15°, intensity 37
d 2.355, 38.22°, intensity 55
d 2.346, 38.36°, intensity 89
d 2.330, 38.65°, intensity 88
d 2.308, 39.02°, intensity 85
d 2.264, 39.81°, intensity 40
d 2.248, 40.12°, intensity 100
d 2.186, 41.31°, intensity 41

Atomic structure:
```
Ga3Ag3Hg
1.0
5.9487 0.0000 0.0000
0.5001 7.0093 0.0000
0.5220 2.8235 6.5108
Ga Ag Hg
6 6 2
direct
0.0163 0.0586 0.2927 Ga
0.1959 0.6152 0.6500 Ga
0.3101 0.7420 0.2503 Ga
0.6899 0.2580 0.7497 Ga
0.8041 0.3848 0.3500 Ga
0.9837 0.9414 0.7073 Ga
0.1335 0.2006 0.8847 Ag
0.2390 0.4971 0.0559 Ag
0.4759 0.8830 0.8507 Ag
0.5241 0.1170 0.1493 Ag
0.7610 0.5029 0.9441 Ag
0.8665 0.7994 0.1153 Ag
0.3412 0.2535 0.4800 Hg
0.6588 0.7465 0.5200 Hg
```

Record 7
For Pm2Sm5Sb5, a structure optimized by DFT (GGA-PBE) gives the computed XRD peak list in this record (Cu Kα, 1.54184 Å).
Intensities are scaled so that the largest is 100.

Peak list (10 most intense, 2θ = 10–90°, in order of rising 2θ)
d 3.252, 27.43°, intensity 78
d 3.200, 27.88°, intensity 50
d 3.182, 28.04°, intensity 63
d 3.134, 28.48°, intensity 77
d 3.108, 28.73°, intensity 100
d 2.935, 30.46°, intensity 68
d 2.821, 31.72°, intensity 71
d 2.606, 34.41°, intensity 44
d 2.209, 40.84°, intensity 72
d 2.186, 41.31°, intensity 55

Atomic structure:
```
Pm2Sm5Sb5
1.0
7.2214 -2.2094 0.0000
7.2214 2.2094 0.0000
-3.9369 0.0000 12.3324
Pm Sm Sb
2 5 5
direct
0.0385 0.0385 0.2824 Pm
0.9615 0.9615 0.7176 Pm
0.2728 0.2728 0.1539 Sm
0.3413 0.3413 0.4590 Sm
0.5000 0.5000 0.0000 Sm
0.6587 0.6587 0.5410 Sm
0.7272 0.7272 0.8461 Sm
0.0000 0.0000 0.5000 Sb
0.1215 0.1215 0.9333 Sb
0.3042 0.3042 0.7025 Sb
0.6958 0.6958 0.2975 Sb
0.8785 0.8785 0.0667 Sb
```

Record 8
For Ac2Ga2SiPd4, a structure optimized by DFT (GGA-PBE) gives the computed XRD peak list in this record (Cu Kα, 1.54184 Å).
Intensities are scaled so that the largest is 100.

Peak list (10 most intense, 2θ = 10–90°, in order of rising 2θ)
d 4.724, 18.79°, intensity 17
d 3.199, 27.89°, intensity 33
d 2.649, 33.84°, intensity 100
d 2.362, 38.10°, intensity 48
d 1.975, 45.96°, intensity 13
d 1.900, 47.88°, intensity 15
d 1.670, 54.98°, intensity 16
d 1.599, 57.63°, intensity 17
d 1.515, 61.18°, intensity 12
d 1.413, 66.15°, intensity 29

Atomic structure:
```
Ac2Ga2SiPd4
1.0
-3.3400 3.3400 4.3473
3.3400 -3.3400 4.3473
3.3400 3.3400 -4.3473
Ac Ga Si Pd
2 2 1 4
direct
0.2500 0.7500 0.5000 Ac
0.7500 0.2500 0.5000 Ac
0.1599 0.1599 0.0000 Ga
0.8401 0.8401 0.0000 Ga
0.5000 0.5000 0.0000 Si
0.2412 0.2412 0.4824 Pd
0.2412 0.7588 0.0000 Pd
0.7588 0.2412 0.0000 Pd
0.7588 0.7588 0.5176 Pd
```

Record 9
For Cu3AgCl8, a structure optimized by DFT (GGA-PBE) gives the computed XRD peak list in this record (Cu Kα, 1.54184 Å).
Intensities are scaled so that the largest is 100.

Peak list (10 most intense, 2θ = 10–90°, in order of rising 2θ)
d 6.949, 12.74°, intensity 32
d 4.959, 17.89°, intensity 53
d 4.540, 19.55°, intensity 28
d 4.089, 21.74°, intensity 100
d 3.671, 24.25°, intensity 29
d 3.471, 25.66°, intensity 24
d 2.916, 30.66°, intensity 56
d 2.303, 39.12°, intensity 23
d 2.098, 43.11°, intensity 34
d 1.838, 49.60°, intensity 25

Atomic structure:
```
Cu3AgCl8
1.0
9.6272 -2.0982 0.0000
9.6272 2.0982 0.0000
-2.5885 0.0000 7.3410
Cu Ag Cl
3 1 8
direct
0.0000 0.0000 0.0000 Cu
0.0774 0.0774 0.5609 Cu
0.2500 0.2500 0.4332 Cu
0.3383 0.3383 0.9842 Ag
0.0852 0.0852 0.8600 Cl
0.1042 0.1042 0.2920 Cl
0.2232 0.2232 0.6951 Cl
0.2485 0.2485 0.1467 Cl
0.4456 0.4456 0.8570 Cl
0.5280 0.5280 0.5092 Cl
0.8038 0.8038 0.4904 Cl
0.9174 0.9174 0.1540 Cl
```

Record 10
For Ac2In5Ir3, a structure optimized by DFT (GGA-PBE) gives the computed XRD peak list in this record (Cu Kα, 1.54184 Å).
Intensities are scaled so that the largest is 100.

Peak list (10 most intense, 2θ = 10–90°, in order of rising 2θ)
d 2.907, 30.75°, intensity 33
d 2.781, 32.18°, intensity 100
d 2.763, 32.40°, intensity 87
d 2.567, 34.96°, intensity 33
d 2.527, 35.53°, intensity 29
d 2.289, 39.37°, intensity 56
d 2.211, 40.80°, intensity 24
d 2.151, 42.00°, intensity 26
d 1.708, 53.66°, intensity 20
d 1.590, 57.99°, intensity 17

Atomic structure:
```
Ac2In5Ir3
1.0
2.2887 -13.6364 0.0000
2.2887 13.6364 0.0000
0.0000 0.0000 7.5893
Ac In Ir
4 10 6
direct
0.0262 0.9738 0.5000 Ac
0.3243 0.6757 0.4096 Ac
0.6757 0.3243 0.9096 Ac
0.9738 0.0262 0.0000 Ac
0.0984 0.9016 0.1162 In
0.2068 0.7932 0.6009 In
0.2101 0.7899 0.2090 In
0.3708 0.6292 0.9515 In
0.4461 0.5539 0.3304 In
0.5539 0.4461 0.8304 In
0.6292 0.3708 0.4515 In
0.7899 0.2101 0.7090 In
0.7932 0.2068 0.1009 In
0.9016 0.0984 0.6162 In
0.1109 0.8891 0.7389 Ir
0.2685 0.7315 0.9030 Ir
0.4548 0.5452 0.7113 Ir
0.5452 0.4548 0.2113 Ir
0.7315 0.2685 0.4030 Ir
0.8891 0.1109 0.2389 Ir
```

Record 11
For SmBeZn2Ru2, a structure optimized by DFT (GGA-PBE) gives the computed XRD peak list in this record (Cu Kα, 1.54184 Å).
Intensities are scaled so that the largest is 100.

Peak list (10 most intense, 2θ = 10–90°, in order of rising 2θ)
d 3.373, 26.42°, intensity 24
d 2.659, 33.71°, intensity 100
d 2.289, 39.36°, intensity 44
d 2.160, 41.82°, intensity 53
d 2.023, 44.81°, intensity 12
d 1.571, 58.78°, intensity 26
d 1.550, 59.63°, intensity 14
d 1.527, 60.63°, intensity 17
d 1.324, 71.20°, intensity 22
d 1.145, 84.69°, intensity 13

Atomic structure:
```
SmBeZn2Ru2
1.0
4.3200 0.0000 0.0000
0.0000 4.3200 0.0000
0.0000 0.0000 5.3983
Sm Be Zn Ru
1 1 2 2
direct
0.0000 0.0000 0.0000 Sm
0.0000 0.0000 0.5000 Be
0.5000 0.5000 0.2362 Zn
0.5000 0.5000 0.7638 Zn
0.0000 0.5000 0.5000 Ru
0.5000 0.0000 0.5000 Ru
```